# Cs2KAsO4
Computed PXRD pattern, Cu Kα (λ = 1.5418 Å). Input: a crystal structure in Alexandria, relaxed with PBE.

Structural model:
abc: 14.006 13.032 6.781
angles: 83.62 67.62 28.76
Element x y z (fractional)
Cs 0.064 0.064 0.686
Cs 0.314 0.314 0.936
Cs 0.686 0.686 0.064
Cs 0.936 0.936 0.314
K 0.125 0.125 0.125
K 0.875 0.875 0.875
As 0.375 0.375 0.375
As 0.625 0.625 0.625
O 0.090 0.585 0.485
O 0.341 0.485 0.585
O 0.415 0.910 0.659
O 0.485 0.341 0.090
O 0.515 0.659 0.910
O 0.585 0.090 0.341
O 0.659 0.515 0.415
O 0.910 0.415 0.515

Principal peaks in the range 15 to 90 degrees two-theta, by angle:
2θ = 19.12°, I = 100
2θ = 23.78°, I = 22
2θ = 25.81°, I = 56
2θ = 28.47°, I = 47
2θ = 29.71°, I = 25
2θ = 31.86°, I = 25
2θ = 32.21°, I = 47
2θ = 35.69°, I = 22
2θ = 38.61°, I = 19
2θ = 47.10°, I = 20
2θ = 54.35°, I = 19
2θ = 55.81°, I = 15

***

# CsKTe2As
Computed PXRD pattern, Cu Kα (λ = 1.5418 Å). Input: a crystal structure in Alexandria, relaxed with PBE.

Structural model:
abc: 8.358 8.358 7.119
angles: 90.00 90.00 127.23
Element x y z (fractional)
Cs 0.250 0.750 0.753
Cs 0.750 0.250 0.247
K 0.250 0.250 0.000
K 0.750 0.750 0.000
Te 0.150 0.850 0.268
Te 0.350 0.650 0.268
Te 0.650 0.350 0.732
Te 0.850 0.150 0.732
As 0.000 0.000 0.500
As 0.500 0.500 0.500

Principal peaks in the range 15 to 90 degrees two-theta, by angle:
2θ = 18.25°, I = 17
2θ = 23.96°, I = 79
2θ = 24.87°, I = 72
2θ = 25.02°, I = 26
2θ = 26.79°, I = 20
2θ = 27.75°, I = 67
2θ = 34.67°, I = 100
2θ = 34.91°, I = 39
2θ = 36.98°, I = 34
2θ = 42.69°, I = 21
2θ = 49.45°, I = 36
2θ = 50.59°, I = 33

***

# CsKTe4As2
Computed PXRD pattern, Cu Kα (λ = 1.5418 Å). Input: a crystal structure in Alexandria, relaxed with PBE.

Structural model:
abc: 8.131 8.131 8.131
angles: 135.06 107.57 89.44
Element x y z (fractional)
Cs 0.000 0.000 0.000
K 0.500 0.500 0.000
Te 0.016 0.787 0.329
Te 0.458 0.688 0.671
Te 0.542 0.213 0.230
Te 0.984 0.312 0.770
As 0.365 0.865 0.500
As 0.635 0.135 0.500

Principal peaks in the range 15 to 90 degrees two-theta, by angle:
2θ = 15.34°, I = 44
2θ = 22.97°, I = 46
2θ = 24.09°, I = 100
2θ = 24.66°, I = 27
2θ = 28.73°, I = 46
2θ = 30.96°, I = 17
2θ = 31.23°, I = 22
2θ = 37.44°, I = 20
2θ = 37.84°, I = 45
2θ = 38.38°, I = 18
2θ = 44.69°, I = 31
2θ = 52.29°, I = 20

***

# CsK2TlAs2
Computed PXRD pattern, Cu Kα (λ = 1.5418 Å). Input: a crystal structure in Alexandria, relaxed with PBE.

Structural model:
abc: 9.075 9.075 9.075
angles: 141.75 141.75 55.21
Element x y z (fractional)
Cs 0.000 0.000 0.000
K 0.250 0.750 0.500
K 0.750 0.250 0.500
Tl 0.500 0.500 0.000
As 0.346 0.346 0.000
As 0.654 0.654 0.000

Principal peaks in the range 15 to 90 degrees two-theta, by angle:
2θ = 15.89°, I = 49
2θ = 21.13°, I = 84
2θ = 22.11°, I = 21
2θ = 23.88°, I = 100
2θ = 30.05°, I = 71
2θ = 37.62°, I = 21
2θ = 39.88°, I = 61
2θ = 43.02°, I = 26
2θ = 45.56°, I = 21
2θ = 48.40°, I = 19
2θ = 49.79°, I = 27
2θ = 60.10°, I = 36

***

# Cs4K2ZnAs2
Computed PXRD pattern, Cu Kα (λ = 1.5418 Å). Input: a crystal structure in Alexandria, relaxed with PBE.

Structural model:
abc: 10.149 10.149 5.716
angles: 95.89 95.89 88.60
Element x y z (fractional)
Cs 0.011 0.695 0.822
Cs 0.305 0.989 0.178
Cs 0.695 0.011 0.822
Cs 0.989 0.305 0.178
K 0.377 0.377 0.713
K 0.623 0.623 0.287
Zn 0.000 0.000 0.500
As 0.155 0.155 0.683
As 0.845 0.845 0.317

Principal peaks in the range 15 to 90 degrees two-theta, by angle:
2θ = 18.51°, I = 11
2θ = 19.55°, I = 18
2θ = 20.08°, I = 13
2θ = 21.33°, I = 23
2θ = 24.76°, I = 100
2θ = 25.88°, I = 11
2θ = 26.49°, I = 22
2θ = 32.30°, I = 26
2θ = 37.53°, I = 14
2θ = 38.08°, I = 14
2θ = 38.11°, I = 13
2θ = 41.85°, I = 16

***

# CsLaAs2
Computed PXRD pattern, Cu Kα (λ = 1.5418 Å). Input: a crystal structure in Alexandria, relaxed with PBE.

Structural model:
abc: 5.561 5.561 5.561
angles: 60.00 60.00 60.00
Element x y z (fractional)
Cs 0.000 0.000 0.000
La 0.500 0.500 0.500
As 0.250 0.250 0.250
As 0.750 0.750 0.750

Principal peaks in the range 15 to 90 degrees two-theta, by angle:
2θ = 22.61°, I = 8
2θ = 32.19°, I = 100
2θ = 39.70°, I = 3
2θ = 46.17°, I = 18
2θ = 52.00°, I = 4
2θ = 57.40°, I = 38
2θ = 67.36°, I = 12
2θ = 72.05°, I = 2
2θ = 76.63°, I = 16
2θ = 81.12°, I = 1
2θ = 85.56°, I = 4
2θ = 89.97°, I = 1